[1]
For Sm2DyHoTm6, the GGA-PBE geometry in Alexandria gives the simulated powder diffractogram in this record (Cu Kα (weighted mean of Kα1 and Kα2)).
No peak broadening, texture or thermal motion is included.

Structure:
abc: 8.682 8.682 9.551
angles: 94.49 94.49 118.12
Sites, in units of the cell vectors:
Sm1 0.194 0.299 0.043
Sm2 0.299 0.194 0.543
Sm3 0.701 0.806 0.457
Sm4 0.806 0.701 0.957
Dy1 0.020 0.980 0.250
Dy2 0.980 0.020 0.750
Ho1 0.407 0.593 0.750
Ho2 0.593 0.407 0.250
Tm1 0.023 0.575 0.186
Tm2 0.126 0.746 0.557
Tm3 0.254 0.874 0.943
Tm4 0.291 0.503 0.381
Tm5 0.425 0.977 0.314
Tm6 0.497 0.709 0.119
Tm7 0.503 0.291 0.881
Tm8 0.575 0.023 0.686
Tm9 0.709 0.497 0.619
Tm10 0.746 0.126 0.057
Tm11 0.874 0.254 0.443
Tm12 0.977 0.425 0.814

Most intense lines, 2θ = 15–90°, low angle first:
2theta  I_rel
29.02  56
30.85  66
31.02  95
31.71  77
31.95  55
32.14  100
32.67  26
33.95  91
34.56  23
38.47  24

=====

[2]
For Li4Cd2Ag3, the GGA-PBE geometry in Alexandria gives the simulated powder diffractogram in this record (Cu Kα (weighted mean of Kα1 and Kα2)).
No peak broadening, texture or thermal motion is included.

Structure:
abc: 4.219 4.971 8.575
angles: 75.85 89.75 64.96
Sites, in units of the cell vectors:
Li1 0.011 0.477 0.342
Li2 0.338 0.824 0.112
Li3 0.662 0.176 0.888
Li4 0.989 0.523 0.658
Cd1 0.326 0.846 0.779
Cd2 0.674 0.154 0.221
Ag1 0.000 0.500 0.000
Ag2 0.339 0.825 0.441
Ag3 0.661 0.175 0.559

Most intense lines, 2θ = 15–90°, low angle first:
2theta  I_rel
20.42  66
25.48  49
26.92  37
27.05  35
37.71  100
37.99  49
38.14  49
42.87  36
43.38  33
45.79  28

=====

[3]
For TbNd2ErTm4, the GGA-PBE geometry in Alexandria gives the simulated powder diffractogram in this record (Cu Kα (weighted mean of Kα1 and Kα2)).
No peak broadening, texture or thermal motion is included.

Structure:
abc: 9.469 9.469 9.469
angles: 138.12 103.28 91.48
Sites, in units of the cell vectors:
Tb1 0.000 0.000 0.000
Tb2 0.500 0.000 0.500
Nd1 0.000 0.500 0.500
Nd2 0.500 0.000 0.000
Nd3 0.500 0.500 0.000
Nd4 0.500 0.500 0.500
Er1 0.000 0.000 0.500
Er2 0.000 0.500 0.000
Tm1 0.245 0.249 0.996
Tm2 0.246 0.245 0.499
Tm3 0.246 0.746 0.001
Tm4 0.247 0.751 0.496
Tm5 0.753 0.249 0.504
Tm6 0.754 0.254 0.999
Tm7 0.754 0.755 0.501
Tm8 0.755 0.751 0.004

Most intense lines, 2θ = 15–90°, low angle first:
2theta  I_rel
26.98  45
30.46  100
41.14  89
54.10  13
61.47  18
61.58  9
63.44  8
64.75  23
70.23  12
81.32  8

=====

[4]
For TlHg5Sb, the GGA-PBE geometry in Alexandria gives the simulated powder diffractogram in this record (Cu Kα (weighted mean of Kα1 and Kα2)).
No peak broadening, texture or thermal motion is included.

Structure:
abc: 6.845 6.845 6.845
angles: 127.08 119.92 84.17
Sites, in units of the cell vectors:
Tl1 0.000 0.000 0.000
Hg1 0.401 0.159 0.758
Hg2 0.401 0.643 0.242
Hg3 0.500 0.711 0.789
Hg4 0.688 0.188 0.500
Hg5 0.922 0.711 0.211
Sb1 0.003 0.503 0.500

Most intense lines, 2θ = 15–90°, low angle first:
2theta  I_rel
26.00  27
29.42  95
31.21  72
31.49  57
33.34  100
34.29  50
35.34  25
40.25  24
41.99  24
46.55  37

=====

[5]
For TbHfSc2As4, the GGA-PBE geometry in Alexandria gives the simulated powder diffractogram in this record (Cu Kα (weighted mean of Kα1 and Kα2)).
No peak broadening, texture or thermal motion is included.

Structure:
abc: 6.776 3.929 6.810
angles: 90.00 109.33 90.00
Sites, in units of the cell vectors:
Tb1 0.000 0.000 0.000
Hf1 0.000 0.500 0.500
Sc1 0.500 0.000 0.500
Sc2 0.500 0.500 0.000
As1 0.253 0.000 0.742
As2 0.260 0.500 0.263
As3 0.740 0.500 0.737
As4 0.747 0.000 0.258

Most intense lines, 2θ = 15–90°, low angle first:
2theta  I_rel
26.60  18
32.25  100
35.29  7
46.20  48
46.37  24
57.35  6
57.50  12
67.42  8
76.67  16
85.78  8

=====

[6]
For Mn6Co5Ni, the GGA-PBE geometry in Alexandria gives the simulated powder diffractogram in this record (Cu Kα (weighted mean of Kα1 and Kα2)).
No peak broadening, texture or thermal motion is included.

Structure:
abc: 7.032 7.032 7.032
angles: 146.45 131.95 59.88
Sites, in units of the cell vectors:
Mn1 0.080 0.332 0.748
Mn2 0.246 0.000 0.246
Mn3 0.416 0.668 0.748
Mn4 0.584 0.332 0.252
Mn5 0.754 0.000 0.754
Mn6 0.920 0.668 0.252
Co1 0.000 0.500 0.500
Co2 0.167 0.167 0.000
Co3 0.335 0.835 0.500
Co4 0.665 0.165 0.500
Co5 0.833 0.833 0.000
Ni1 0.500 0.500 0.000

Most intense lines, 2θ = 15–90°, low angle first:
2theta  I_rel
44.68  100
64.95  10
65.17  5
82.29  19
82.44  9

=====

[7]
For Dy5HoRu3, the GGA-PBE geometry in Alexandria gives the simulated powder diffractogram in this record (Cu Kα (weighted mean of Kα1 and Kα2)).
No peak broadening, texture or thermal motion is included.

Structure:
abc: 7.609 7.609 9.916
angles: 108.01 108.01 72.72
Sites, in units of the cell vectors:
Dy1 0.066 0.066 0.367
Dy2 0.134 0.532 0.334
Dy3 0.199 0.801 0.000
Dy4 0.267 0.267 0.966
Dy5 0.468 0.866 0.666
Dy6 0.532 0.134 0.334
Dy7 0.733 0.733 0.034
Dy8 0.801 0.199 0.000
Dy9 0.866 0.468 0.666
Dy10 0.934 0.934 0.633
Ho1 0.400 0.400 0.701
Ho2 0.600 0.600 0.299
Ru1 0.166 0.166 0.166
Ru2 0.167 0.167 0.666
Ru3 0.500 0.500 0.000
Ru4 0.500 0.500 0.500
Ru5 0.833 0.833 0.334
Ru6 0.834 0.834 0.834

Most intense lines, 2θ = 15–90°, low angle first:
2theta  I_rel
19.70  30
27.99  16
29.24  100
31.38  33
38.30  40
40.00  25
43.59  18
48.10  41
50.32  16
60.64  14

=====

[8]
For Ac6N5, the GGA-PBE geometry in Alexandria gives the simulated powder diffractogram in this record (Cu Kα (weighted mean of Kα1 and Kα2)).
No peak broadening, texture or thermal motion is included.

Structure:
abc: 6.792 6.792 6.779
angles: 99.86 99.86 119.90
Sites, in units of the cell vectors:
Ac1 0.069 0.418 0.747
Ac2 0.233 0.233 0.262
Ac3 0.418 0.069 0.747
Ac4 0.582 0.931 0.253
Ac5 0.767 0.767 0.738
Ac6 0.931 0.582 0.253
N1 0.000 0.000 0.500
N2 0.162 0.838 0.000
N3 0.321 0.679 0.500
N4 0.679 0.321 0.500
N5 0.838 0.162 0.000

Most intense lines, 2θ = 15–90°, low angle first:
2theta  I_rel
27.87  100
28.01  33
32.19  28
32.40  57
46.28  30
46.38  21
54.77  15
54.98  26
55.24  11
74.61  12

=====

[9]
For Li5SmCd6, the GGA-PBE geometry in Alexandria gives the simulated powder diffractogram in this record (Cu Kα (weighted mean of Kα1 and Kα2)).
No peak broadening, texture or thermal motion is included.

Structure:
abc: 7.636 7.636 7.030
angles: 90.00 90.00 142.81
Sites, in units of the cell vectors:
Li1 0.000 0.000 0.000
Li2 0.330 0.670 0.500
Li3 0.341 0.659 0.000
Li4 0.659 0.341 0.000
Li5 0.670 0.330 0.500
Sm1 0.000 0.000 0.500
Cd1 0.175 0.825 0.228
Cd2 0.175 0.825 0.772
Cd3 0.500 0.500 0.223
Cd4 0.500 0.500 0.777
Cd5 0.825 0.175 0.228
Cd6 0.825 0.175 0.772

Most intense lines, 2θ = 15–90°, low angle first:
2theta  I_rel
23.05  12
25.34  23
26.00  47
28.98  16
36.62  100
36.92  27
37.27  25
53.47  17
66.32  17
66.79  15

=====

[10]
For SrLi5Au3, the GGA-PBE geometry in Alexandria gives the simulated powder diffractogram in this record (Cu Kα (weighted mean of Kα1 and Kα2)).
No peak broadening, texture or thermal motion is included.

Structure:
abc: 7.071 7.071 12.800
angles: 90.00 90.00 145.26
Sites, in units of the cell vectors:
Sr1 0.161 0.839 0.750
Sr2 0.839 0.161 0.250
Li1 0.000 0.000 0.000
Li2 0.000 0.000 0.500
Li3 0.198 0.802 0.051
Li4 0.198 0.802 0.449
Li5 0.430 0.570 0.645
Li6 0.430 0.570 0.855
Li7 0.570 0.430 0.145
Li8 0.570 0.430 0.355
Li9 0.802 0.198 0.551
Li10 0.802 0.198 0.949
Au1 0.135 0.865 0.250
Au2 0.391 0.609 0.056
Au3 0.391 0.609 0.444
Au4 0.609 0.391 0.556
Au5 0.609 0.391 0.944
Au6 0.865 0.135 0.750

Most intense lines, 2θ = 15–90°, low angle first:
2theta  I_rel
23.14  21
24.69  70
26.13  100
26.41  55
32.27  55
42.17  23
42.84  21
46.11  28
50.07  22
64.36  24

=====

[11]
For Ho4TmS6, the GGA-PBE geometry in Alexandria gives the simulated powder diffractogram in this record (Cu Kα (weighted mean of Kα1 and Kα2)).
No peak broadening, texture or thermal motion is included.

Structure:
abc: 6.666 6.666 19.714
angles: 90.00 90.00 146.97
Sites, in units of the cell vectors:
Ho1 0.091 0.909 0.628
Ho2 0.091 0.909 0.872
Ho3 0.361 0.639 0.540
Ho4 0.361 0.639 0.960
Ho5 0.639 0.361 0.040
Ho6 0.639 0.361 0.460
Ho7 0.909 0.091 0.128
Ho8 0.909 0.091 0.372
Tm1 0.151 0.849 0.250
Tm2 0.849 0.151 0.750
S1 0.000 0.000 0.000
S2 0.000 0.000 0.500
S3 0.196 0.804 0.750
S4 0.270 0.730 0.089
S5 0.270 0.730 0.411
S6 0.448 0.552 0.668
S7 0.448 0.552 0.832
S8 0.552 0.448 0.168
S9 0.552 0.448 0.332
S10 0.730 0.270 0.589
S11 0.730 0.270 0.911
S12 0.804 0.196 0.250

Most intense lines, 2θ = 15–90°, low angle first:
2theta  I_rel
26.14  30
26.56  100
27.92  32
28.06  46
31.93  27
32.91  74
34.49  52
44.42  36
48.01  26
55.70  27

=====

[12]
For HfMgZn11, the GGA-PBE geometry in Alexandria gives the simulated powder diffractogram in this record (Cu Kα (weighted mean of Kα1 and Kα2)).
No peak broadening, texture or thermal motion is included.

Structure:
abc: 6.682 6.682 6.763
angles: 98.98 98.98 133.03
Sites, in units of the cell vectors:
Hf1 0.000 0.000 0.000
Mg1 0.000 0.000 0.500
Zn1 0.000 0.500 0.000
Zn2 0.004 0.359 0.346
Zn3 0.298 0.509 0.793
Zn4 0.359 0.004 0.346
Zn5 0.491 0.702 0.207
Zn6 0.500 0.000 0.000
Zn7 0.500 0.500 0.500
Zn8 0.509 0.298 0.793
Zn9 0.641 0.996 0.654
Zn10 0.702 0.491 0.207
Zn11 0.996 0.641 0.654

Most intense lines, 2θ = 15–90°, low angle first:
2theta  I_rel
33.66  35
35.13  84
39.64  100
40.69  76
41.19  80
41.36  67
45.11  18
64.88  18
65.33  19
74.20  17